# 1
Diffraction record for Li2VF5. The PXRD pattern is theoretical, not measured: it uses a crystal structure in the Materials Project, relaxed with PBE+U and Cu Kα.
No peak broadening, texture or thermal motion is included.

Largest 8 diffraction maxima, sorted by position, 5° ≤ 2θ ≤ 70°:
2theta	d (Å)	intensity	hkl
17.79	4.985	100	0 1 1
23.87	3.728	44	0 0 2
25.02	3.559	63	2 0 1
25.70	3.467	56	2 1 0
26.59	3.352	44	0 2 0
42.21	2.141	29	0 3 1
44.75	2.025	31	4 0 0
48.86	1.864	22	0 0 4

Structure:
Cell: 8.1012 6.7046 7.4560 Å, 90.00 90.00 90.00°
Space group Pna2_1 (No. 33)
Unique sites:
Li  0.1230  0.1512  0.0000 x4
Li  0.1238  0.7360  0.2872 x4
V  0.1253  0.2513  0.4745 x4
F  0.0919  0.9627  0.4606 x4
F  0.1234  0.2638  0.2222 x4
F  0.1253  0.2543  0.7452 x4
F  0.1248  0.7224  0.0130 x4
F  0.1605  0.5397  0.4714 x4

---

# 2
Diffraction record for Fe3O4F2. The PXRD pattern is theoretical, not measured: it uses a crystal structure in the Materials Project, relaxed with PBE+U and Cu Kα.
No peak broadening, texture or thermal motion is included.

Largest 8 diffraction maxima, sorted by position, 5° ≤ 2θ ≤ 70°:
2theta	d (Å)	intensity	hkl
27.19	3.280	100	2 0 0
35.16	2.553	27	1 1 -3
35.27	2.545	28	1 1 3
40.41	2.232	12	0 2 3
53.33	1.718	28	1 3 -3
53.49	1.713	30	3 1 3
56.07	1.640	16	0 4 0
67.87	1.381	12	3 3 -3

Structure:
Cell: 6.5619 6.5591 9.1509 Å, 90.00 90.27 90.00°
Space group C2 (No. 5)
Unique sites:
Fe  0.0000  0.0000  0.0000 x2
Fe  0.0000  0.4858  0.5000 x2
Fe  0.0061  0.4631  0.1610 x4
Fe  0.0268  0.9891  0.6566 x4
O  0.0000  0.1895  0.5000 x2
O  0.0000  0.7859  0.5000 x2
O  0.0097  0.1691  0.8276 x4
O  0.1781  0.4818  0.3363 x4
O  0.1992  0.4768  0.9969 x4
F  0.0082  0.7802  0.8297 x4
F  0.2059  0.4819  0.6683 x4